For PuCo2F8, DFT lattice parameters and positions (GGA+U) gives the computed X-ray diffraction stick pattern in this record (CuKα).

Structural model:
Cell: 6.462 6.462 6.462 Å, 133.01 133.01 68.64°
Atoms (fractional coordinates):
Pu  0.000  0.000  0.000
Co  0.250  0.750  0.500
Co  0.750  0.250  0.500
F  0.103  0.619  0.989
F  0.114  0.103  0.484
F  0.370  0.381  0.484
F  0.381  0.897  0.011
F  0.619  0.630  0.516
F  0.630  0.114  0.011
F  0.886  0.370  0.989
F  0.897  0.886  0.516

Largest 8 diffraction maxima, by angle, 15 to 90 degrees two-theta:
2θ (°), I_rel
19.1, 100.0
29.7, 78.7
30.5, 29.1
40.0, 29.0
47.0, 20.4
49.2, 37.5
50.1, 17.9
59.3, 22.1